No. 1
# Hf2SeO2
Calculated XRD peak list, copper Kα. Input: DFT lattice parameters and positions (PBE).
Neutral-atom scattering factors, no anomalous dispersion.

Most intense lines, 2θ from 5° to 70°, low angle first:
25.43 deg, d = 3.502 Å, I = 26; 34.14 deg, d = 2.627 Å, I = 60; 35.18 deg, d = 2.551 Å, I = 100; 49.04 deg, d = 1.858 Å, I = 43; 49.77 deg, d = 1.832 Å, I = 4; 56.06 deg, d = 1.640 Å, I = 6; 61.07 deg, d = 1.517 Å, I = 5; 61.80 deg, d = 1.501 Å, I = 39; 63.78 deg, d = 1.459 Å, I = 13; 67.13 deg, d = 1.394 Å, I = 7

Structure:
```
Hf2SeO2
1.0
-1.857 1.857 5.265
1.857 -1.857 5.265
1.857 1.857 -5.265
Hf Se O
2 1 2
direct
0.145 0.145 0.000
0.855 0.855 0.000
0.500 0.500 0.000
0.250 0.750 0.500
0.750 0.250 0.500
```


No. 2
# Pr5TlSn3
Calculated XRD peak list, copper Kα. Input: DFT lattice parameters and positions (PBE).
Neutral-atom scattering factors, no anomalous dispersion.

Most intense lines, 2θ from 5° to 70°, low angle first:
31.01 deg, d = 2.883 Å, I = 31; 31.84 deg, d = 2.810 Å, I = 86; 32.21 deg, d = 2.779 Å, I = 100; 40.82 deg, d = 2.210 Å, I = 9; 45.92 deg, d = 1.976 Å, I = 32; 49.50 deg, d = 1.841 Å, I = 12; 56.72 deg, d = 1.623 Å, I = 12; 56.96 deg, d = 1.617 Å, I = 25; 62.89 deg, d = 1.478 Å, I = 9; 64.23 deg, d = 1.450 Å, I = 23

Structure:
```
Pr5TlSn3
1.0
9.736 0.000 0.000
-4.868 8.431 0.000
0.000 0.000 6.771
Pr Tl Sn
10 2 6
direct
0.000 0.283 0.250
0.000 0.717 0.750
0.283 0.000 0.250
0.283 0.283 0.750
0.333 0.667 0.000
0.333 0.667 0.500
0.667 0.333 0.000
0.667 0.333 0.500
0.717 0.000 0.750
0.717 0.717 0.250
0.000 0.000 0.000
0.000 0.000 0.500
0.000 0.373 0.750
0.000 0.627 0.250
0.373 0.000 0.750
0.373 0.373 0.250
0.627 0.000 0.250
0.627 0.627 0.750
```


No. 3
# Ba3Li3Ag
Calculated XRD peak list, copper Kα. Input: DFT lattice parameters and positions (PBE).
Neutral-atom scattering factors, no anomalous dispersion.

Most intense lines, 2θ from 5° to 70°, low angle first:
7.92 deg, d = 11.159 Å, I = 26; 21.45 deg, d = 4.143 Å, I = 66; 26.74 deg, d = 3.334 Å, I = 100; 27.03 deg, d = 3.298 Å, I = 57; 30.18 deg, d = 2.961 Å, I = 18; 33.35 deg, d = 2.686 Å, I = 17; 36.01 deg, d = 2.494 Å, I = 20; 36.71 deg, d = 2.448 Å, I = 19; 42.91 deg, d = 2.107 Å, I = 21; 45.60 deg, d = 1.989 Å, I = 27

Structure:
```
Ba3Li3Ag
1.0
-2.448 2.494 11.159
2.448 -2.494 11.159
2.448 2.494 -11.159
Ba Li Ag
3 3 1
direct
0.000 0.000 0.000
0.367 0.367 0.000
0.694 0.194 0.500
0.132 0.632 0.500
0.555 0.555 0.000
0.815 0.815 0.000
0.254 0.754 0.500
```


No. 4
# LaScMnSi2
Calculated XRD peak list, copper Kα. Input: DFT lattice parameters and positions (PBE).
Neutral-atom scattering factors, no anomalous dispersion.

Most intense lines, 2θ from 5° to 70°, low angle first:
22.43 deg, d = 3.964 Å, I = 38; 31.82 deg, d = 2.812 Å, I = 68; 33.91 deg, d = 2.644 Å, I = 100; 42.71 deg, d = 2.117 Å, I = 36; 45.59 deg, d = 1.990 Å, I = 25; 48.77 deg, d = 1.867 Å, I = 10; 54.23 deg, d = 1.691 Å, I = 36; 57.96 deg, d = 1.591 Å, I = 14; 61.99 deg, d = 1.497 Å, I = 11; 64.24 deg, d = 1.450 Å, I = 18

Structure:
```
LaScMnSi2
1.0
-2.117 2.117 5.635
2.117 -2.117 5.635
2.117 2.117 -5.635
La Sc Mn Si
1 1 1 2
direct
0.000 0.000 0.000
0.250 0.750 0.500
0.750 0.250 0.500
0.391 0.391 0.000
0.609 0.609 0.000
```